Theoretical powder diffractogram
Compound: K2NpBr3F3
Radiation: CuKα
Structure: DFT lattice parameters and positions (GGA-PBE)

```
data_K2NpBr3F3
_chemical_formula_sum 'K2 Np1 Br3 F3'
_cell_length_a 8.2833
_cell_length_b 8.2833
_cell_length_c 3.7522
_cell_angle_alpha 90.00
_cell_angle_beta 90.00
_cell_angle_gamma 120.00
_space_group_name_H-M_alt 'P -6 2 m'
_space_group_IT_number 189
_space_group_name_Hall 'P -6 -2'
loop_
_atom_site_label
_atom_site_type_symbol
_atom_site_fract_x
_atom_site_fract_y
_atom_site_fract_z
_atom_site_occupancy
K1 K 0.3333 0.6667 0.0000 1
Np1 Np 0.0000 0.0000 0.5000 1
Br1 Br 0.0000 0.3616 0.5000 1
F1 F 0.0000 0.8242 0.0000 1
```

Principal peaks in the range 2θ from 10° to 90°, sorted by position:
2θ/deg  I (rel.)
12.34  100
21.46  55
26.81  36
34.60  47
37.62  46
41.07  48

=====

Theoretical powder diffractogram
Compound: K5Br2OF
Radiation: CuKα
Structure: DFT lattice parameters and positions (GGA-PBE)

```
data_K5Br2OF
_chemical_formula_sum 'K10 Br4 O2 F2'
_cell_length_a 5.0326
_cell_length_b 7.3097
_cell_length_c 15.8099
_cell_angle_alpha 90.00
_cell_angle_beta 90.00
_cell_angle_gamma 90.00
_space_group_name_H-M_alt 'I m m m'
_space_group_IT_number 71
_space_group_name_Hall '-I 2 2'
loop_
_atom_site_label
_atom_site_type_symbol
_atom_site_fract_x
_atom_site_fract_y
_atom_site_fract_z
_atom_site_occupancy
K1 K 0.0000 0.0000 0.0000 1
K2 K 0.0000 0.2518 0.3833 1
Br1 Br 0.0000 0.0000 0.2093 1
O1 O 0.0000 0.5000 0.5000 1
F1 F 0.0000 0.5000 0.0000 1
```

Principal peaks in the range 2θ from 10° to 90°, sorted by position:
2θ/deg  I (rel.)
21.44  39
24.24  41
30.77  70
33.43  100
35.68  31
61.41  31

=====

Theoretical powder diffractogram
Compound: K2PBrF6
Radiation: CuKα
Structure: DFT lattice parameters and positions (GGA-PBE)

```
data_K2PBrF6
_chemical_formula_sum 'K4 P2 Br2 F12'
_cell_length_a 9.9025
_cell_length_b 5.2230
_cell_length_c 7.8770
_cell_angle_alpha 90.00
_cell_angle_beta 112.70
_cell_angle_gamma 90.00
_space_group_name_H-M_alt 'C 1 2/m 1'
_space_group_IT_number 12
loop_
_space_group_symop_operation_xyz
'x,y,z'
'-x,-y,-z'
'-x,y,-z'
'x,-y,z'
'x+1/2,y+1/2,z'
'-x+1/2,-y+1/2,-z'
'-x+1/2,y+1/2,-z'
'x+1/2,-y+1/2,z'
loop_
_atom_site_label
_atom_site_type_symbol
_atom_site_fract_x
_atom_site_fract_y
_atom_site_fract_z
_atom_site_occupancy
K1 K 0.2271 0.0000 0.2087 1
P1 P 0.0000 0.0000 0.5000 1
Br1 Br 0.0000 0.5000 0.0000 1
F1 F 0.1001 0.2214 0.4592 1
F2 F 0.1102 0.0000 0.7192 1
```

Principal peaks in the range 2θ from 10° to 90°, sorted by position:
2θ/deg  I (rel.)
21.01  24
24.73  53
25.06  100
32.09  72
37.09  22
42.78  30

=====

Theoretical powder diffractogram
Compound: K2PuBr2F4
Radiation: CuKα
Structure: DFT lattice parameters and positions (GGA-PBE)

```
data_K2PuBr2F4
_chemical_formula_sum 'K4 Pu2 Br4 F8'
_cell_length_a 6.8739
_cell_length_b 6.8739
_cell_length_c 10.2314
_cell_angle_alpha 90.00
_cell_angle_beta 90.00
_cell_angle_gamma 90.00
_space_group_name_H-M_alt 'I 4/m m m'
_space_group_IT_number 139
_space_group_name_Hall '-I 4 2'
loop_
_atom_site_label
_atom_site_type_symbol
_atom_site_fract_x
_atom_site_fract_y
_atom_site_fract_z
_atom_site_occupancy
K1 K 0.0000 0.5000 0.2500 1
Pu1 Pu 0.0000 0.0000 0.0000 1
Br1 Br 0.0000 0.0000 0.2770 1
F1 F 0.2170 0.2170 0.0000 1
```

Principal peaks in the range 2θ from 10° to 90°, sorted by position:
2θ/deg  I (rel.)
15.53  100
18.25  72
25.92  52
29.23  50
36.99  37
39.46  37